# PrGa7Cu12
Calculated X-ray diffraction stick pattern, Cu Kα (λ = 1.5418 Å). Input: a PBE-relaxed structure.

Peak list (10 most intense, 15 to 90 degrees two-theta, by angle)
hkl 1 3 1, 2θ = 32.60°, d = 2.747 Å, rel. 27; hkl 1 2 2, 2θ = 35.24°, d = 2.547 Å, rel. 59; hkl 4 0 1, 2θ = 35.65°, d = 2.519 Å, rel. 38; hkl 3 1 2, 2θ = 40.79°, d = 2.212 Å, rel. 34; hkl 0 0 3, 2θ = 41.92°, d = 2.155 Å, rel. 38; hkl 3 3 0, 2θ = 42.96°, d = 2.105 Å, rel. 100; hkl 0 4 2, 2θ = 43.34°, d = 2.088 Å, rel. 64; hkl 2 3 2, 2θ = 45.77°, d = 1.982 Å, rel. 23; hkl 3 3 3, 2θ = 61.59°, d = 1.506 Å, rel. 29; hkl 4 3 4, 2θ = 79.77°, d = 1.202 Å, rel. 17

```
data_PrGa7Cu12
_chemical_formula_sum 'Pr3 Ga21 Cu36'
_cell_length_a 12.6315
_cell_length_b 12.6315
_cell_length_c 6.4649
_cell_angle_alpha 90.00
_cell_angle_beta 90.00
_cell_angle_gamma 120.00
_symmetry_space_group_name_H-M 'R -3 m'
_symmetry_Int_Tables_number 166
_symmetry_space_group_name_Hall '-R 3 2"'
loop_
_atom_site_label
_atom_site_type_symbol
_atom_site_fract_x
_atom_site_fract_y
_atom_site_fract_z
Pr1 Pr 0.0000 0.0000 0.0000
Ga1 Ga 0.0000 0.0000 0.5000
Ga2 Ga 0.1019 0.5510 0.3572
Cu1 Cu 0.0000 0.2721 0.0000
Cu2 Cu 0.1057 0.5529 0.9488
```

# PrGa4Cu4
Calculated X-ray diffraction stick pattern, Cu Kα (λ = 1.5418 Å). Input: a PBE-relaxed structure.

Peak list (10 most intense, 15 to 90 degrees two-theta, by angle)
hkl 1 2 1, 2θ = 31.34°, d = 2.854 Å, rel. 80; hkl 1 3 0, 2θ = 34.17°, d = 2.624 Å, rel. 64; hkl 3 0 1, 2θ = 38.27°, d = 2.352 Å, rel. 59; hkl 0 0 2, 2θ = 40.39°, d = 2.233 Å, rel. 53; hkl 3 2 1, 2θ = 44.28°, d = 2.046 Å, rel. 100; hkl 1 3 2, 2θ = 53.91°, d = 1.701 Å, rel. 34; hkl 5 1 0, 2θ = 56.55°, d = 1.627 Å, rel. 23; hkl 5 1 2, 2θ = 71.77°, d = 1.315 Å, rel. 22; hkl 3 2 3, 2θ = 76.16°, d = 1.250 Å, rel. 19; hkl 4 5 1, 2θ = 76.55°, d = 1.245 Å, rel. 16

```
data_PrGa4Cu4
_chemical_formula_sum 'Pr2 Ga8 Cu8'
_cell_length_a 8.2980
_cell_length_b 8.2980
_cell_length_c 4.4661
_cell_angle_alpha 90.00
_cell_angle_beta 90.00
_cell_angle_gamma 90.00
_symmetry_space_group_name_H-M 'I 4/m'
_symmetry_Int_Tables_number 87
_symmetry_space_group_name_Hall '-I 4'
loop_
_atom_site_label
_atom_site_type_symbol
_atom_site_fract_x
_atom_site_fract_y
_atom_site_fract_z
Pr1 Pr 0.0000 0.0000 0.0000
Ga1 Ga 0.1016 0.3736 0.0000
Cu1 Cu 0.1253 0.2296 0.5000
```

# Pr3Ga4Cu4
Calculated X-ray diffraction stick pattern, Cu Kα (λ = 1.5418 Å). Input: a PBE-relaxed structure.

Peak list (10 most intense, 15 to 90 degrees two-theta, by angle)
hkl 1 1 2, 2θ = 30.70°, d = 2.912 Å, rel. 27; hkl 1 0 7, 2θ = 33.03°, d = 2.712 Å, rel. 59; hkl 1 1 4, 2θ = 33.17°, d = 2.701 Å, rel. 100; hkl 0 1 9, 2θ = 38.52°, d = 2.337 Å, rel. 33; hkl 0 2 0, 2θ = 41.92°, d = 2.155 Å, rel. 34; hkl 2 0 0, 2θ = 43.48°, d = 2.081 Å, rel. 31; hkl 0 1 11, 2θ = 45.05°, d = 2.012 Å, rel. 20; hkl 1 2 7, 2θ = 54.37°, d = 1.687 Å, rel. 28; hkl 2 1 9, 2θ = 59.47°, d = 1.554 Å, rel. 19; hkl 2 2 0, 2θ = 61.98°, d = 1.497 Å, rel. 22

```
data_Pr3Ga4Cu4
_chemical_formula_sum 'Pr6 Ga8 Cu8'
_cell_length_a 4.1622
_cell_length_b 4.3107
_cell_length_c 25.0286
_cell_angle_alpha 90.00
_cell_angle_beta 90.00
_cell_angle_gamma 90.00
_symmetry_space_group_name_H-M 'I m m m'
_symmetry_Int_Tables_number 71
_symmetry_space_group_name_Hall '-I 2 2'
loop_
_atom_site_label
_atom_site_type_symbol
_atom_site_fract_x
_atom_site_fract_y
_atom_site_fract_z
Pr1 Pr 0.0000 0.0000 0.0000
Pr2 Pr 0.0000 0.5000 0.1520
Ga1 Ga 0.0000 0.0000 0.4483
Ga2 Ga 0.0000 0.5000 0.3020
Cu1 Cu 0.0000 0.0000 0.2505
Cu2 Cu 0.0000 0.5000 0.4009
```

# Pr3Ga6Cu5
Calculated X-ray diffraction stick pattern, Cu Kα (λ = 1.5418 Å). Input: a PBE-relaxed structure.

Peak list (10 most intense, 15 to 90 degrees two-theta, by angle)
hkl 1 3 0, 2θ = 28.23°, d = 3.161 Å, rel. 26; hkl 0 4 2, 2θ = 33.29°, d = 2.691 Å, rel. 58; hkl 1 4 1, 2θ = 34.82°, d = 2.577 Å, rel. 100; hkl 1 3 2, 2θ = 35.08°, d = 2.558 Å, rel. 96; hkl 0 3 3, 2θ = 36.69°, d = 2.449 Å, rel. 27; hkl 1 0 3, 2θ = 37.15°, d = 2.420 Å, rel. 52; hkl 0 6 0, 2θ = 39.49°, d = 2.282 Å, rel. 53; hkl 2 0 0, 2θ = 41.20°, d = 2.191 Å, rel. 80; hkl 1 1 4, 2θ = 47.08°, d = 1.930 Å, rel. 26; hkl 2 4 2, 2θ = 53.96°, d = 1.699 Å, rel. 29

```
data_Pr3Ga6Cu5
_chemical_formula_sum 'Pr6 Ga12 Cu10'
_cell_length_a 4.3823
_cell_length_b 13.6927
_cell_length_c 8.7083
_cell_angle_alpha 90.00
_cell_angle_beta 90.00
_cell_angle_gamma 90.00
_symmetry_space_group_name_H-M 'P m m n'
_symmetry_Int_Tables_number 59
loop_
_symmetry_equiv_pos_as_xyz
'x,y,z'
'-x,-y,-z'
'-x+1/2,-y+1/2,z'
'x+1/2,y+1/2,-z'
'x+1/2,-y,-z'
'-x+1/2,y,z'
'-x,y+1/2,-z'
'x,-y+1/2,z'
loop_
_atom_site_label
_atom_site_type_symbol
_atom_site_fract_x
_atom_site_fract_y
_atom_site_fract_z
Pr1 Pr 0.2500 0.0329 0.2280
Pr2 Pr 0.2500 0.7500 0.2912
Ga1 Ga 0.2500 0.1186 0.8876
Ga2 Ga 0.2500 0.2500 0.1079
Ga3 Ga 0.2500 0.2500 0.4375
Ga4 Ga 0.2500 0.5910 0.5410
Cu1 Cu 0.2500 0.0956 0.6046
Cu2 Cu 0.2500 0.6486 0.9705
Cu3 Cu 0.2500 0.7500 0.7169
```